This entry pairs a crystal structure of KMgVO4 with its theoretical X-ray diffraction stick pattern. Radiation: Cu Kα (weighted mean of Kα1 and Kα2). Structure: a cell relaxed with PBE+U.

Atomic structure:
a = 8.439 Å, b = 8.439 Å, c = 8.439 Å
α = 90.00°, β = 90.00°, γ = 90.00°
Space group F-43m (No. 216)
Symmetry-distinct sites (fractional):
K 0.000 0.000 0.000 [4 per cell]
Mg 0.250 0.250 0.250 [4 per cell]
V 0.000 0.000 0.500 [4 per cell]
O 0.119 0.119 0.381 [16 per cell]

Main lines, by angle (5° ≤ 2θ ≤ 70°):
- hkl 1 1 1, 18.21°, I = 64
- hkl 2 0 0, 21.05°, I = 47
- hkl 2 2 0, 29.95°, I = 100
- hkl 2 2 2, 36.90°, I = 23
- hkl 3 3 1, 46.93°, I = 13
- hkl 4 2 0, 48.22°, I = 12
- hkl 4 2 2, 53.17°, I = 34
- hkl 4 4 0, 62.23°, I = 22
- hkl 5 3 1, 65.42°, I = 7
- hkl 4 4 2, 66.47°, I = 6